[1]
Structure and calculated PXRD pattern of CaGa2AgAu (the GGA-PBE geometry in Alexandria; Cu Kα, 1.54184 Å).

Crystal structure
```
data_CaGa2AgAu
_cell_length_a 4.0520
_cell_length_b 4.3680
_cell_length_c 11.8800
_cell_angle_alpha 90.00
_cell_angle_beta 90.00
_cell_angle_gamma 90.00
_space_group_name_H-M_alt 'I m m 2'
_space_group_IT_number 44
loop_
_space_group_symop_operation_xyz
'x,y,z'
'-x,-y,z'
'-x,y,z'
'x,-y,z'
'x+1/2,y+1/2,z+1/2'
'-x+1/2,-y+1/2,z+1/2'
'-x+1/2,y+1/2,z+1/2'
'x+1/2,-y+1/2,z+1/2'
loop_
_atom_site_label
_atom_site_type_symbol
_atom_site_fract_x
_atom_site_fract_y
_atom_site_fract_z
_atom_site_occupancy
Ca1 Ca 0.0000 0.0000 0.0000 1
Ga1 Ga 0.0000 0.0000 0.6151 1
Ga2 Ga 0.0000 0.5000 0.2650 1
Ag1 Ag 0.0000 0.5000 0.7332 1
Au1 Au 0.0000 0.0000 0.4018 1
```

Top 12 peaks for 2θ = 10–80°, sorted by position:
d 5.940, 2θ 14.91, rel. 241; d 4.100, 2θ 21.68, rel. 489; d 3.835, 2θ 23.19, rel. 453; d 2.832, 2θ 31.59, rel. 369; d 2.657, 2θ 33.73, rel. 1000; d 2.184, 2θ 41.34, rel. 338; d 2.100, 2θ 43.07, rel. 648; d 2.087, 2θ 43.35, rel. 383; d 2.026, 2θ 44.73, rel. 269; d 1.729, 2θ 52.94, rel. 169; d 1.485, 2θ 62.54, rel. 229; d 1.454, 2θ 64.05, rel. 234

=====

[2]
Structure and calculated PXRD pattern of BaHfAlS4 (the GGA-PBE geometry in Alexandria; Cu Kα, 1.54184 Å).

Crystal structure
```
data_BaHfAlS4
_cell_length_a 10.5127
_cell_length_b 10.5127
_cell_length_c 10.5127
_cell_angle_alpha 90.00
_cell_angle_beta 90.00
_cell_angle_gamma 90.00
_space_group_name_H-M_alt 'F -4 3 m'
_space_group_IT_number 216
_space_group_name_Hall 'F -4 2 3'
loop_
_atom_site_label
_atom_site_type_symbol
_atom_site_fract_x
_atom_site_fract_y
_atom_site_fract_z
_atom_site_occupancy
Ba1 Ba 0.0000 0.0000 0.0000 1
Hf1 Hf 0.2500 0.2500 0.7500 1
Al1 Al 0.0000 0.0000 0.5000 1
S1 S 0.1212 0.1212 0.6212 1
```

Top 12 peaks for 2θ = 10–80°, sorted by position:
d 6.069, 2θ 14.59, rel. 972; d 3.717, 2θ 23.94, rel. 1000; d 3.170, 2θ 28.15, rel. 460; d 2.412, 2θ 37.28, rel. 314; d 2.146, 2θ 42.11, rel. 447; d 2.023, 2θ 44.80, rel. 185; d 1.858, 2θ 49.02, rel. 269; d 1.777, 2θ 51.42, rel. 225; d 1.662, 2θ 55.26, rel. 201; d 1.472, 2θ 63.16, rel. 122; d 1.405, 2θ 66.57, rel. 233; d 1.239, 2θ 76.96, rel. 116